Entry 1:
Structure and theoretical PXRD pattern of Cs2UPt3S6 (a PBE-relaxed structure; Cu Ka).
No peak broadening, texture or thermal motion is included.

Crystal structure
a b c (Å): 9.855 15.646 17.113
angles (deg): 90.00 90.00 90.00
Space group Fmmm (No. 69)
Inequivalent atoms, fractional coordinates:
Cs (0.000, 0.179, 0.000) (multiplicity 8)
Cs (0.250, 0.250, 0.250) (multiplicity 8)
U (0.000, 0.000, 0.333) (multiplicity 8)
Pt (0.165, 0.000, 0.163) (multiplicity 16)
Pt (0.171, 0.000, 0.500) (multiplicity 8)
S (0.000, 0.102, 0.203) (multiplicity 16)
S (0.191, 0.103, 0.399) (multiplicity 32)

Top 10 peaks for 15° ≤ 2θ ≤ 90°, sorted by position:
2θ/deg	I_rel
22.73	50
23.73	74
31.96	100
33.44	49
35.94	61
39.09	27
42.95	72
47.23	34
52.02	29
56.21	30

Entry 2:
Structure and theoretical PXRD pattern of YZrCo (a PBE-relaxed structure; Cu Ka).
No peak broadening, texture or thermal motion is included.

Crystal structure
a b c (Å): 5.444 4.290 5.819
angles (deg): 90.00 104.28 90.00
Space group P2_1/m (No. 11)
Inequivalent atoms, fractional coordinates:
Y (0.073, 0.250, 0.276) (multiplicity 2)
Zr (0.463, 0.250, 0.813) (multiplicity 2)
Co (0.381, 0.750, 0.574) (multiplicity 2)

Top 10 peaks for 15° ≤ 2θ ≤ 90°, sorted by position:
2θ/deg	I_rel
16.80	25
28.95	47
31.73	22
33.32	100
33.77	35
33.98	29
38.20	43
38.50	47
42.13	46
52.01	20

Entry 3:
Structure and theoretical PXRD pattern of Na4Zr3ScSe8 (a PBE-relaxed structure; Cu Ka).
No peak broadening, texture or thermal motion is included.

Crystal structure
a b c (Å): 7.7297 7.7297 21.4342
angles (deg): 90.00 90.00 120.00
Space group R-3m (No. 166, hexagonal axes)
Inequivalent atoms, fractional coordinates:
Na (0.0000, 0.0000, 0.0000) (multiplicity 3)
Na (0.0000, 0.5000, 0.0000) (multiplicity 9)
Zr (0.0000, 0.5000, 0.5000) (multiplicity 9)
Sc (0.0000, 0.0000, 0.5000) (multiplicity 3)
Se (0.0000, 0.0000, 0.2426) (multiplicity 6)
Se (0.0016, 0.5008, 0.2415) (multiplicity 18)

Top 10 peaks for 15° ≤ 2θ ≤ 90°, sorted by position:
2θ/deg	I_rel
31.52	100
39.90	10
43.25	38
47.02	33
51.14	7
57.71	17
65.79	10
71.99	14
77.53	14
84.74	10

Entry 4:
Structure and theoretical PXRD pattern of La2TbNd5Sm (a PBE-relaxed structure; Cu Ka).
No peak broadening, texture or thermal motion is included.

Crystal structure
a b c (Å): 8.768 8.768 16.529
angles (deg): 90.00 90.00 90.00
Space group I4/mcm (No. 140)
Inequivalent atoms, fractional coordinates:
La (0.120, 0.380, 0.000) (multiplicity 8)
Tb (0.000, 0.500, 0.250) (multiplicity 4)
Nd (0.000, 0.000, 0.000) (multiplicity 4)
Nd (0.218, 0.282, 0.357) (multiplicity 16)
Sm (0.000, 0.000, 0.250) (multiplicity 4)

Top 10 peaks for 15° ≤ 2θ ≤ 90°, sorted by position:
2θ/deg	I_rel
27.93	40
28.80	54
29.71	100
34.11	11
37.38	13
38.60	13
42.68	11
43.82	12
51.60	28
53.28	13

Entry 5:
Structure and theoretical PXRD pattern of Sc8CdRu2 (a PBE-relaxed structure; Cu Ka).
No peak broadening, texture or thermal motion is included.

Crystal structure
a b c (Å): 4.918 14.687 6.479
angles (deg): 90.00 90.00 90.00
Space group Imm2 (No. 44)
Inequivalent atoms, fractional coordinates:
Sc (0.000, 0.000, 0.000) (multiplicity 2)
Sc (0.000, 0.113, 0.448) (multiplicity 4)
Sc (0.000, 0.291, 0.125) (multiplicity 4)
Sc (0.000, 0.332, 0.589) (multiplicity 4)
Sc (0.000, 0.500, 0.230) (multiplicity 2)
Cd (0.000, 0.500, 0.799) (multiplicity 2)
Ru (0.000, 0.171, 0.822) (multiplicity 4)

Top 10 peaks for 15° ≤ 2θ ≤ 90°, sorted by position:
2θ/deg	I_rel
22.74	83
25.67	27
33.46	31
33.68	23
36.54	52
36.71	23
38.00	100
43.60	31
45.91	34
60.09	20

Entry 6:
Structure and theoretical PXRD pattern of Rb2NbF7 (a PBE-relaxed structure; Cu Ka).
No peak broadening, texture or thermal motion is included.

Crystal structure
a b c (Å): 14.268 7.223 9.968
angles (deg): 90.00 129.87 90.00
Space group C2/c (No. 15)
Inequivalent atoms, fractional coordinates:
Rb (0.184, 0.073, 0.273) (multiplicity 8)
Nb (0.000, 0.387, 0.750) (multiplicity 4)
F (0.000, 0.104, 0.750) (multiplicity 4)
F (0.097, 0.339, 0.002) (multiplicity 8)
F (0.111, 0.393, 0.356) (multiplicity 8)
F (0.136, 0.319, 0.751) (multiplicity 8)

Top 10 peaks for 15° ≤ 2θ ≤ 90°, sorted by position:
2θ/deg	I_rel
22.74	50
23.26	88
23.66	100
27.34	99
38.62	28
38.72	22
42.27	33
43.44	23
45.82	29
50.89	19

Entry 7:
Structure and theoretical PXRD pattern of K2UP2N6 (a PBE-relaxed structure; Cu Ka).
No peak broadening, texture or thermal motion is included.

Crystal structure
a b c (Å): 5.7605 5.7605 18.6086
angles (deg): 90.00 90.00 120.00
Space group R-3m (No. 166, hexagonal axes)
Inequivalent atoms, fractional coordinates:
K (0.0000, 0.0000, 0.2081) (multiplicity 6)
U (0.0000, 0.0000, 0.0000) (multiplicity 3)
P (0.0000, 0.0000, 0.4022) (multiplicity 6)
N (0.0165, 0.5083, 0.2626) (multiplicity 18)

Top 10 peaks for 15° ≤ 2θ ≤ 90°, sorted by position:
2θ/deg	I_rel
18.41	76
20.20	72
26.19	33
29.95	100
31.05	72
34.33	30
41.06	25
42.86	29
43.70	30
54.59	49

Entry 8:
Structure and theoretical PXRD pattern of Pa3IBr7 (a PBE-relaxed structure; Cu Ka).
No peak broadening, texture or thermal motion is included.

Crystal structure
a b c (Å): 7.7830 7.7830 7.7305
angles (deg): 90.00 90.00 120.00
Space group P3m1 (No. 156)
Inequivalent atoms, fractional coordinates:
Pa (0.1682, 0.3363, 0.0000) (multiplicity 3)
I (0.0000, 0.0000, 0.7152) (multiplicity 1)
Br (0.3333, 0.6667, 0.2575) (multiplicity 1)
Br (0.3417, 0.1708, 0.2293) (multiplicity 3)
Br (0.5044, 0.0088, 0.7699) (multiplicity 3)

Top 10 peaks for 15° ≤ 2θ ≤ 90°, sorted by position:
2θ/deg	I_rel
17.46	17
28.90	100
35.33	76
44.25	33
46.69	34
48.23	16
55.84	16
59.87	19
68.42	17
79.16	21